ThCrS3: computed PXRD pattern (copper Kα), based on a structure optimized by DFT (GGA-PBE).
Intensities are scaled so that the largest is 100.

The 10 most intense peaks (2θ from 10° to 80°), in order of rising 2θ:
two_theta	d_spacing	I (rel.)
19.92	4.456	33
21.15	4.201	100
26.01	3.426	55
27.41	3.254	90
32.84	2.727	36
35.62	2.521	42
38.83	2.319	37
39.17	2.300	68
40.51	2.227	61
50.15	1.819	39

Cell and atoms:
```
ThCrS3
1.0
7.4224 0.0000 0.0000
0.0000 8.9125 0.0000
0.0000 0.0000 6.2103
Th Cr S
4 4 12
Cartesian
0.8684 2.2281 0.3206
2.8428 6.6844 3.4257
4.5795 2.2281 2.7846
6.5540 6.6844 5.8897
0.0000 0.0000 3.1052
0.0000 4.4562 3.1052
3.7112 0.0000 0.0000
3.7112 4.4562 0.0000
0.2895 6.6844 2.2712
1.2742 4.9492 5.1383
1.2742 8.4195 5.1383
2.4370 0.4930 2.0331
2.4370 3.9632 2.0331
3.4217 2.2281 5.3764
4.0006 6.6844 0.8339
4.9854 4.9492 4.1772
4.9854 8.4195 4.1772
6.1482 0.4930 1.0720
6.1482 3.9632 1.0720
7.1329 2.2281 3.9391
```

---

TiCrS2: computed PXRD pattern (copper Kα), based on a structure optimized by DFT (GGA-PBE).
Intensities are scaled so that the largest is 100.

The 10 most intense peaks (2θ from 10° to 80°), in order of rising 2θ:
two_theta	d_spacing	I (rel.)
30.00	2.979	37
33.67	2.662	39
43.04	2.101	100
53.27	1.720	39
55.82	1.647	8
62.37	1.489	6
62.66	1.483	8
64.51	1.444	5
70.80	1.331	20
71.02	1.327	5

Cell and atoms:
```
TiCrS2
1.0
3.4395 0.0000 0.0000
-1.7197 2.9787 0.0000
0.0000 0.0000 5.9303
Ti Cr S
1 1 2
Cartesian
0.0000 0.0000 0.0000
0.0000 0.0000 2.9652
0.0000 1.9858 1.5062
1.7197 0.9929 4.4241
```

---

TlVCr4S8: computed PXRD pattern (copper Kα), based on a structure optimized by DFT (GGA-PBE).
Intensities are scaled so that the largest is 100.

The 10 most intense peaks (2θ from 10° to 80°), in order of rising 2θ:
two_theta	d_spacing	I (rel.)
20.56	4.320	66
21.24	4.183	65
28.76	3.104	40
30.53	2.928	38
32.96	2.718	48
33.16	2.702	100
34.70	2.585	87
41.45	2.179	63
47.40	1.918	44
52.93	1.730	56

Cell and atoms:
```
TlVCr4S8
1.0
8.9772 -1.7378 0.0000
8.9772 1.7378 0.0000
-2.1333 0.0000 8.3611
Tl V Cr S
1 1 4 8
Cartesian
0.0000 0.0000 0.0000
1.7948 0.0000 3.9854
1.9292 0.0000 6.9906
7.9424 0.0000 4.2003
13.9540 0.0000 1.3986
13.9944 0.0000 4.4082
-0.0780 0.0000 5.5450
3.9790 0.0000 2.9212
5.8953 0.0000 0.1138
6.0245 0.0000 5.6007
9.8252 0.0000 2.7088
9.9632 0.0000 8.2813
11.8505 0.0000 5.5130
15.8777 0.0000 2.9301
```

---

Tm2CrS4: computed PXRD pattern (copper Kα), based on a structure optimized by DFT (GGA-PBE).
Intensities are scaled so that the largest is 100.

The 10 most intense peaks (2θ from 10° to 80°), in order of rising 2θ:
two_theta	d_spacing	I (rel.)
19.97	4.446	22
25.76	3.459	100
26.09	3.415	34
28.88	3.091	57
33.27	2.693	59
35.58	2.523	53
44.30	2.045	33
46.43	1.956	22
49.21	1.851	62
56.33	1.633	22

Cell and atoms:
```
Tm2CrS4
1.0
12.3840 0.0000 0.0000
0.0000 7.4109 0.0000
0.0000 0.0000 12.5078
Tm Cr S
16 8 32
Cartesian
1.3580 0.8679 0.0000
1.5726 4.5674 7.9994
1.6606 2.7501 3.8638
1.6547 6.4474 3.8083
4.5314 2.7501 10.1177
4.5373 6.4474 10.0622
4.6194 4.5674 1.7455
4.8340 0.8679 6.2539
7.5500 6.5430 0.0000
7.7646 2.8435 7.9994
7.8467 0.9635 3.8083
7.8526 4.6608 3.8638
10.7293 0.9635 10.0622
10.7233 4.6608 10.1177
10.8114 2.8435 1.7455
11.0260 6.5430 6.2539
1.3413 4.6378 0.0703
1.5395 0.8769 7.9630
4.6525 0.8769 1.7091
4.8507 4.6378 6.3242
7.5333 2.7731 0.0703
7.7315 6.5340 7.9630
10.8445 6.5340 1.7091
11.0427 2.7731 6.3242
0.1425 0.8909 2.4036
0.3258 4.6287 2.2710
0.3491 4.5674 5.5611
0.5767 0.9083 5.6743
2.6001 0.8874 10.1541
2.6152 4.6060 10.4578
2.8436 6.4034 1.1070
2.9689 2.6558 1.0944
3.2231 2.6558 7.3483
3.3484 6.4034 7.3609
3.5768 4.6060 4.2039
3.5919 0.8874 3.9002
5.6153 0.9083 11.9282
5.8429 4.5674 11.8150
5.8662 4.6287 8.5249
6.0495 0.8909 8.6575
6.3345 6.5201 2.4036
6.5178 2.7823 2.2710
6.5411 2.8435 5.5611
6.7687 6.5026 5.6743
8.7921 6.5235 10.1541
8.8071 2.8049 10.4578
9.0356 1.0075 1.1070
9.1609 4.7551 1.0944
9.4151 4.7551 7.3483
9.5404 1.0075 7.3609
9.7688 2.8049 4.2039
9.7839 6.5235 3.9002
11.8073 6.5026 11.9282
12.0349 2.8435 11.8150
12.0582 2.7823 8.5249
12.2415 6.5201 8.6575
```

---

U8CrS17: computed PXRD pattern (copper Kα), based on a structure optimized by DFT (GGA-PBE).
Intensities are scaled so that the largest is 100.

The 10 most intense peaks (2θ from 10° to 80°), in order of rising 2θ:
two_theta	d_spacing	I (rel.)
20.01	4.438	39
24.40	3.649	60
25.47	3.498	100
26.04	3.422	66
26.35	3.382	54
27.26	3.271	62
27.74	3.216	82
35.41	2.535	44
40.84	2.210	46
43.49	2.081	38

Cell and atoms:
```
U8CrS17
1.0
6.5864 -4.1617 0.0000
6.5864 4.1617 0.0000
-2.0580 0.0000 10.1343
U Cr S
8 1 17
Cartesian
4.1471 2.1452 8.0959
0.7216 0.0000 9.6871
6.9677 2.1452 2.0384
3.1925 0.0000 4.8914
7.9223 0.0000 5.2429
4.1471 -2.1452 8.0959
10.3931 0.0000 0.4472
6.9677 -2.1452 2.0384
-1.0290 0.0000 5.0671
0.0000 0.0000 0.0000
3.7456 2.5907 5.3620
-0.7428 0.0000 7.3714
4.8467 1.6137 0.3553
2.3453 0.0000 2.2416
2.4311 0.0000 7.5367
7.3692 2.5907 4.7723
6.2681 1.6137 9.7790
5.6275 0.0000 3.3516
5.4873 0.0000 6.7827
4.8467 -1.6137 0.3553
3.7456 -2.5907 5.3620
8.6836 0.0000 2.5976
8.7695 0.0000 7.8927
6.2681 -1.6137 9.7790
11.8575 0.0000 2.7629
7.3692 -2.5907 4.7723
```

---

UCrS3: computed PXRD pattern (copper Kα), based on a structure optimized by DFT (GGA-PBE).
Intensities are scaled so that the largest is 100.

The 10 most intense peaks (2θ from 10° to 80°), in order of rising 2θ:
two_theta	d_spacing	I (rel.)
20.03	4.434	36
21.69	4.097	100
27.16	3.283	55
27.89	3.199	93
33.54	2.672	40
35.68	2.516	37
36.07	2.490	46
39.75	2.268	37
40.35	2.235	37
42.36	2.134	32

Cell and atoms:
```
UCrS3
1.0
7.0693 0.0000 0.0000
0.0000 8.8680 0.0000
0.0000 0.0000 6.1034
U Cr S
4 4 12
Cartesian
0.8389 2.2170 0.3456
2.6958 6.6510 3.3974
4.3736 2.2170 2.7061
6.2304 6.6510 5.7578
0.0000 0.0000 3.0517
0.0000 4.4340 3.0517
3.5347 0.0000 0.0000
3.5347 4.4340 0.0000
0.2945 6.6510 2.1651
1.2672 4.9479 5.0910
1.2672 8.3541 5.0910
2.2675 0.5139 2.0393
2.2675 3.9201 2.0393
3.2402 2.2170 5.2168
3.8291 6.6510 0.8867
4.8019 4.9479 4.0641
4.8019 8.3541 4.0641
5.8022 0.5139 1.0124
5.8022 3.9201 1.0124
6.7749 2.2170 3.9384
```

---

VCr2S4: computed PXRD pattern (copper Kα), based on a structure optimized by DFT (GGA-PBE).
Intensities are scaled so that the largest is 100.

The 10 most intense peaks (2θ from 10° to 80°), in order of rising 2θ:
two_theta	d_spacing	I (rel.)
16.19	5.475	47
16.67	5.319	40
29.92	2.987	44
33.70	2.660	52
34.14	2.626	100
44.61	2.031	44
44.83	2.022	79
45.01	2.014	69
52.25	1.751	75
53.54	1.712	36

Cell and atoms:
```
VCr2S4
1.0
6.2495 -1.7116 0.0000
6.2495 1.7116 0.0000
-2.9478 0.0000 5.3543
V Cr S
1 2 4
Cartesian
0.0000 0.0000 0.0000
2.4188 0.0000 1.4761
7.1324 0.0000 3.8782
0.2324 0.0000 2.3947
4.5078 0.0000 0.1506
5.0434 0.0000 5.2037
9.3188 0.0000 2.9596
```

---

V2CrS4: computed PXRD pattern (copper Kα), based on a structure optimized by DFT (GGA-PBE).
Intensities are scaled so that the largest is 100.

The 10 most intense peaks (2θ from 10° to 80°), in order of rising 2θ:
two_theta	d_spacing	I (rel.)
17.40	5.095	55
34.88	2.572	73
35.23	2.548	35
36.39	2.469	28
42.46	2.129	29
43.70	2.072	37
44.69	2.028	66
45.73	1.984	100
54.81	1.675	43
56.08	1.640	31

Cell and atoms:
```
V2CrS4
1.0
6.2309 -1.6400 0.0000
6.2309 1.6400 0.0000
-2.5134 0.0000 5.2817
V Cr S
2 1 4
Cartesian
2.5534 0.0000 0.9661
7.3950 0.0000 4.3157
4.9742 0.0000 2.6409
0.5269 0.0000 2.5342
4.7476 0.0000 0.2609
5.2008 0.0000 5.0208
9.4216 0.0000 2.7476
```

---

VCr2S4: computed PXRD pattern (copper Kα), based on a structure optimized by DFT (GGA-PBE).
Intensities are scaled so that the largest is 100.

The 10 most intense peaks (2θ from 10° to 80°), in order of rising 2θ:
two_theta	d_spacing	I (rel.)
15.89	5.578	38
17.37	5.104	65
30.55	2.927	40
34.28	2.616	100
35.16	2.552	51
35.93	2.499	37
44.36	2.042	85
45.42	1.997	96
54.15	1.694	62
54.36	1.688	43

Cell and atoms:
```
VCr2S4
1.0
6.1932 -1.6876 0.0000
6.1932 1.6876 0.0000
-2.5544 0.0000 5.2962
V Cr S
1 2 4
Cartesian
0.0000 0.0000 0.0000
2.3536 0.0000 1.6188
4.8555 0.0000 3.2926
-0.3426 0.0000 4.5272
2.6641 0.0000 3.9884
6.8526 0.0000 1.7565
10.3507 0.0000 1.5580
```

---

Y2CrS4: computed PXRD pattern (copper Kα), based on a structure optimized by DFT (GGA-PBE).
Intensities are scaled so that the largest is 100.

The 10 most intense peaks (2θ from 10° to 80°), in order of rising 2θ:
two_theta	d_spacing	I (rel.)
25.52	3.491	100
25.72	3.464	25
31.80	2.814	28
32.77	2.733	91
35.08	2.558	80
43.87	2.064	54
45.71	1.985	30
48.41	1.880	29
48.53	1.876	38
48.64	1.872	33

Cell and atoms:
```
Y2CrS4
1.0
12.5842 0.0000 0.0000
0.0000 7.5205 0.0000
0.0000 0.0000 12.5871
Y Cr S
16 8 32
Cartesian
1.3678 0.8517 0.0000
1.5893 4.6242 8.0528
1.6937 2.7731 3.8697
1.6996 6.5317 3.8578
4.5984 2.7731 10.1633
4.5925 6.5317 10.1513
4.7028 4.6242 1.7592
4.9243 0.8517 6.2935
7.6599 6.6689 0.0000
7.8814 2.8963 8.0528
7.9917 0.9889 3.8578
7.9858 4.7474 3.8697
10.8846 0.9889 10.1513
10.8905 4.7474 10.1633
10.9949 2.8963 1.7592
11.2164 6.6689 6.2935
1.4132 4.6320 0.0994
1.5866 0.8977 8.0049
4.7055 0.8977 1.7113
4.8789 4.6320 6.3929
7.7053 2.8885 0.0994
7.8787 6.6228 8.0049
10.9976 6.6228 1.7113
11.1710 2.8885 6.3929
0.1152 0.8651 2.4297
0.3326 4.6180 5.5918
0.3433 4.7080 2.2744
0.6222 0.9326 5.7256
2.6190 0.8868 10.1954
2.6400 4.6467 10.5505
2.8958 6.4611 1.0711
2.9895 2.6805 1.1402
3.3026 2.6805 7.4338
3.3963 6.4611 7.3646
3.6521 4.6467 4.2570
3.6731 0.8868 3.9019
5.6699 0.9326 12.0191
5.9488 4.7080 8.5680
5.9595 4.6180 11.8853
6.1769 0.8651 8.7233
6.4073 6.6555 2.4297
6.6247 2.9026 5.5918
6.6354 2.8125 2.2744
6.9143 6.5879 5.7256
8.9111 6.6338 10.1954
8.9321 2.8739 10.5505
9.1879 1.0594 1.0711
9.2816 4.8400 1.1402
9.5947 4.8400 7.4338
9.6884 1.0594 7.3646
9.9442 2.8739 4.2570
9.9652 6.6338 3.9019
11.9620 6.5879 12.0191
12.2409 2.8125 8.5680
12.2516 2.9026 11.8853
12.4690 6.6555 8.7233
```

---

Zn3CrS4: computed PXRD pattern (copper Kα), based on a structure optimized by DFT (GGA-PBE).
Intensities are scaled so that the largest is 100.

The 10 most intense peaks (2θ from 10° to 80°), in order of rising 2θ:
two_theta	d_spacing	I (rel.)
16.21	5.467	1
23.01	3.866	1
28.27	3.157	100
32.76	2.734	10
47.01	1.933	61
55.77	1.648	40
58.48	1.578	3
68.67	1.367	9
75.85	1.254	15
78.19	1.223	3

Cell and atoms:
```
Zn3CrS4
1.0
5.4673 0.0000 0.0000
0.0000 5.4673 0.0000
0.0000 0.0000 5.4673
Zn Cr S
3 1 4
Cartesian
0.0000 0.0000 2.7337
0.0000 2.7337 0.0000
2.7337 0.0000 0.0000
2.7337 2.7337 2.7337
1.3605 1.3605 4.1068
1.3605 4.1068 1.3605
4.1068 1.3605 1.3605
4.1068 4.1068 4.1068
```